For Ac3Ge3Pd2, a crystal structure in OQMD, relaxed with PBE gives the theoretical powder X-ray diffraction pattern in this record (Cu Kα).
Lines closer than 0.1° are merged.

Main lines, low angle first (10° ≤ 2θ ≤ 90°):
2θ/deg	I/Imax
22.5	20
23.9	19
30.6	100
31.0	26
31.1	29
32.9	30
37.9	32
40.2	31
41.5	24
52.9	25

Atomic structure:
Lattice parameters (Å, degrees): 4.488 11.541 16.312 90.00 90.00 90.00
Space group Cmcm (No. 63)
Asymmetric unit:
Ac  0.000  0.081  0.250 (multiplicity 4)
Ac  0.000  0.359  0.093 (multiplicity 8)
Ge  0.000  0.082  0.051 (multiplicity 8)
Ge  0.000  0.207  0.750 (multiplicity 4)
Pd  0.000  0.351  0.620 (multiplicity 8)